1.
Computed X-ray powder pattern of LaMg2ZnPt2 for Cu Kα X-rays, from DFT lattice parameters and positions (PBE).

Largest 10 diffraction maxima, low angle first, 2θ from 5° to 70°:
- 16.75°, I 19
- 24.09°, I 100
- 33.87°, I 27
- 34.33°, I 58
- 42.00°, I 41
- 49.00°, I 38
- 49.34°, I 21
- 55.64°, I 21
- 61.19°, I 19
- 66.75°, I 21

Cell and atoms:
Cell: 6.4544 6.4544 6.4544 Å, 132.26 132.26 69.82°
Positions (direct):
La 0.0000 0.0000 0.0000
Mg 0.2500 0.7500 0.5000
Mg 0.7500 0.2500 0.5000
Zn 0.5000 0.5000 0.0000
Pt 0.2675 0.2675 0.0000
Pt 0.7325 0.7325 0.0000

---

2.
Computed X-ray powder pattern of La14PuMg for Cu Kα X-rays, from DFT lattice parameters and positions (PBE).

Largest 10 diffraction maxima, low angle first, 2θ from 5° to 70°:
- 12.09°, I 4
- 14.79°, I 5
- 29.83°, I 100
- 34.41°, I 17
- 34.66°, I 34
- 49.65°, I 24
- 49.83°, I 12
- 58.84°, I 14
- 59.17°, I 29
- 61.97°, I 12

Cell and atoms:
Cell: 10.4247 7.3193 7.3193 Å, 90.07 90.00 90.00°
Positions (direct):
La 0.0000 0.0000 0.0000
La 0.0000 0.0031 0.4941
La 0.0000 0.4941 0.0031
La 0.0000 0.4981 0.4981
La 0.2536 0.7490 0.7490
La 0.2592 0.2478 0.7496
La 0.2592 0.7496 0.2478
La 0.2645 0.2472 0.2472
La 0.5000 0.5055 0.9927
La 0.5000 0.9927 0.5055
La 0.7355 0.2472 0.2472
La 0.7408 0.2478 0.7496
La 0.7408 0.7496 0.2478
La 0.7464 0.7490 0.7490
Pu 0.5000 0.9986 0.9986
Mg 0.5000 0.4990 0.4990